Simulated X-ray diffraction stick pattern of Na2TbGeTe4 for a wavelength of 1.5418 Å, from a DFT-relaxed cell (GGA-PBE, Alexandria).

Main lines, in order of rising 2θ (10 to 90 degrees two-theta):
2θ 11.59, rel. 47.0
2θ 28.26, rel. 52.1
2θ 28.65, rel. 100.0
2θ 40.16, rel. 37.2
2θ 41.19, rel. 37.8
2θ 43.19, rel. 20.3

Structure:
```
data_Na2TbGeTe4
_chemical_formula_sum 'Na2 Tb1 Ge1 Te4'
_cell_length_a 7.717
_cell_length_b 4.190
_cell_length_c 7.991
_cell_angle_alpha 90.00
_cell_angle_beta 107.14
_cell_angle_gamma 90.00
_symmetry_space_group_name_H-M 'P 1 2/m 1'
_symmetry_Int_Tables_number 10
_symmetry_space_group_name_Hall '-P 2y'
loop_
_atom_site_label
_atom_site_type_symbol
_atom_site_fract_x
_atom_site_fract_y
_atom_site_fract_z
_atom_site_occupancy
Na1 Na 0.000 0.000 0.000 1
Na2 Na 0.500 0.500 0.000 1
Tb1 Tb 0.000 0.500 0.500 1
Ge1 Ge 0.500 0.000 0.500 1
Te1 Te 0.251 0.000 0.730 1
Te2 Te 0.270 0.500 0.279 1
```